Entry 1:
Computed powder XRD pattern
Compound: Nd2Ge2Ru
Radiation: Cu Ka
Structure: the PBE geometry in the Materials Project
Intensities are scaled so that the largest is 100.

Main lines, in order of rising 2θ (2θ from 5° to 70°):
index, 2theta, I/Imax
3 1 -1, 31.7, 74
3 1 -2, 32.0, 40
1 1 2, 32.5, 100
1 1 -3, 33.0, 65
3 1 -3, 35.2, 75
0 0 4, 39.0, 39
3 1 1, 39.3, 74
0 2 0, 41.4, 69

Cell: 11.241 4.366 10.595 Å, 90.00 119.40 90.00°
Space group C2/m (No. 12)
Unique sites:
Nd  0.001  0.000  0.328 x4
Nd  0.185  0.000  0.110 x4
Ge  0.004  0.500  0.873 x4
Ge  0.153  0.500  0.568 x4
Ru  0.226  0.500  0.377 x4

***

Entry 2:
Computed powder XRD pattern
Compound: LiTmPt2
Radiation: Cu Ka
Structure: the PBE geometry in the Materials Project
Intensities are scaled so that the largest is 100.

Main lines, in order of rising 2θ (2θ from 5° to 70°):
index, 2theta, I/Imax
1 1 1, 23.6, 21
2 0 0, 27.3, 18
2 2 0, 39.0, 100
3 1 1, 46.0, 11
2 2 2, 48.2, 5
4 0 0, 56.3, 17
3 3 1, 61.9, 4
4 2 0, 63.6, 7

Cell: 6.538 6.538 6.538 Å, 90.00 90.00 90.00°
Space group Fm-3m (No. 225)
Unique sites:
Li  0.000  0.000  0.000 x4
Tm  0.000  0.000  0.500 x4
Pt  0.250  0.250  0.250 x8